Record 1
Starting from a GGA-PBE-relaxed structure, the PXRD pattern of CaTmPd6 was simulated for copper Kα.

The 10 most intense peaks (5° ≤ 2θ ≤ 70°), in order of falling intensity:
| d_spacing | Rel. int. | index |
| --- | --- | --- |
| 2.235 | 100 | 2 0 1 |
| 2.543 | 26 | 2 0 0 |
| 2.340 | 25 | 0 0 2 |
| 1.468 | 17 | 2 2 0 |
| 1.722 | 16 | 2 0 2 |
| 5.087 | 9 | 1 0 0 |
| 2.488 | 4 | 1 1 1 |
| 4.680 | 3 | 0 0 1 |
| 2.126 | 2 | 1 0 2 |
| 3.444 | 2 | 1 0 1 |

Atomic structure:
a = 5.8739 Å, b = 5.8739 Å, c = 4.6803 Å
α = 90.00°, β = 90.00°, γ = 120.00°
Space group P-6m2 (No. 187)
Unique sites:
Ca: 0.0000 0.0000 0.0000 (multiplicity 1)
Tm: 0.3333 0.6667 0.5000 (multiplicity 1)
Pd: 0.3445 0.1722 0.5000 (multiplicity 3)
Pd: 0.5034 0.0068 0.0000 (multiplicity 3)



Record 2
Starting from a GGA-PBE-relaxed structure, the PXRD pattern of Pr2Cr2Co15 was simulated for copper Kα.

The 10 most intense peaks (5° ≤ 2θ ≤ 70°), in order of falling intensity:
| d_spacing | Rel. int. | index |
| --- | --- | --- |
| 2.086 | 100 | 3 3 0 |
| 2.097 | 67 | 2 2 2 |
| 2.025 | 58 | 4 0 -2 |
| 2.075 | 46 | 0 0 3 |
| 2.336 | 43 | 2 2 -2 |
| 2.433 | 40 | 1 3 1 |
| 2.914 | 34 | 3 1 0 |
| 2.112 | 34 | 0 4 0 |
| 1.863 | 25 | 0 2 3 |
| 2.329 | 21 | 4 0 0 |

Atomic structure:
a = 9.4348 Å, b = 8.4496 Å, c = 6.3068 Å
α = 90.00°, β = 99.18°, γ = 90.00°
Space group C2/m (No. 12)
Unique sites:
Pr: 0.1519 0.0000 0.3526 (multiplicity 4)
Cr: 0.2500 0.2500 0.0000 (multiplicity 4)
Co: 0.0000 0.2143 0.0000 (multiplicity 4)
Co: 0.0000 0.5000 0.5000 (multiplicity 2)
Co: 0.0963 0.5000 0.9022 (multiplicity 4)
Co: 0.0998 0.2586 0.6583 (multiplicity 8)
Co: 0.1414 0.3581 0.2827 (multiplicity 8)
Co: 0.1575 0.0000 0.8609 (multiplicity 4)